Record 1
# Dy2Si3Pd
Calculated PXRD pattern, Cu Ka. Input: a crystal structure in the Materials Project, relaxed with GGA-PBE.
Lines closer than 0.1° are merged.

Peak list (10 most intense, 10 to 80 degrees two-theta, sorted by position)
two_theta	intensity	(hkl)
21.6	7	1 1 0
25.0	31	2 0 0
33.9	100	2 0 2
44.1	37	2 2 0
46.1	9	0 0 4
53.1	11	2 0 4
56.8	21	4 0 2
65.7	17	2 2 4
74.6	17	4 2 2
77.5	8	2 0 6

Crystal structure
```
data_Dy2Si3Pd
_chemical_formula_sum 'Dy8 Si12 Pd4'
_space_group_name_H-M_alt 'P 63/m m c'
_space_group_IT_number 194
_space_group_name_Hall '-P 6c 2c'
_cell_length_a 8.2160
_cell_length_b 8.2160
_cell_length_c 7.8813
_cell_angle_alpha 90.00
_cell_angle_beta 90.00
_cell_angle_gamma 120.00
loop_
_atom_site_label
_atom_site_type_symbol
_atom_site_fract_x
_atom_site_fract_y
_atom_site_fract_z
Dy1 Dy 0.0000 0.0000 0.2500
Dy2 Dy 0.0236 0.5118 0.2500
Si1 Si 0.1657 0.3313 0.5016
Pd1 Pd 0.3333 0.6667 0.5445
```

***

Record 2
# Dy3Se3N
Calculated PXRD pattern, Cu Ka. Input: a crystal structure in the Materials Project, relaxed with GGA-PBE.
Lines closer than 0.1° are merged.

Peak list (10 most intense, 10 to 80 degrees two-theta, sorted by position)
two_theta	intensity	(hkl)
25.2	35	3 0 2
26.7	43	2 1 0
27.0	52	0 0 4
27.2	35	1 1 2
31.2	51	1 1 3
31.9	43	3 1 1
34.0	71	3 1 2
38.3	100	2 1 4
46.0	47	0 2 0
49.2	21	6 1 0

Crystal structure
```
data_Dy3Se3N
_chemical_formula_sum 'Dy12 Se12 N4'
_space_group_name_H-M_alt 'P n m a'
_space_group_IT_number 62
_cell_length_a 12.572
_cell_length_b 3.950
_cell_length_c 13.221
_cell_angle_alpha 90.00
_cell_angle_beta 90.00
_cell_angle_gamma 90.00
loop_
_space_group_symop_operation_xyz
'x,y,z'
'-x,-y,-z'
'-x+1/2,-y,z+1/2'
'x+1/2,y,-z+1/2'
'x+1/2,-y+1/2,-z+1/2'
'-x+1/2,y+1/2,z+1/2'
'-x,y+1/2,-z'
'x,-y+1/2,z'
loop_
_atom_site_label
_atom_site_type_symbol
_atom_site_fract_x
_atom_site_fract_y
_atom_site_fract_z
Dy1 Dy 0.042 0.250 0.150
Dy2 Dy 0.062 0.250 0.634
Dy3 Dy 0.203 0.250 0.857
Se1 Se 0.097 0.250 0.398
Se2 Se 0.130 0.750 0.994
Se3 Se 0.225 0.750 0.688
N1 N 0.036 0.250 0.797
```

***

Record 3
# UCl2O3
Calculated PXRD pattern, Cu Ka. Input: a crystal structure in the Materials Project, relaxed with GGA-PBE.
Lines closer than 0.1° are merged.

Peak list (10 most intense, 10 to 80 degrees two-theta, sorted by position)
two_theta	intensity	(hkl)
13.1	100	0 0 1
13.7	78	1 0 0
16.5	27	0 1 1
17.0	32	1 1 0
18.3	68	1 0 -1
20.1	32	0 2 0
22.1	41	1 1 1
24.1	23	0 2 1
33.1	33	2 1 1
36.4	24	1 3 1

Crystal structure
```
data_UCl2O3
_chemical_formula_sum 'U2 Cl4 O6'
_space_group_name_H-M_alt 'P 1 21/m 1'
_space_group_IT_number 11
_cell_length_a 6.490
_cell_length_b 8.839
_cell_length_c 6.774
_cell_angle_alpha 90.00
_cell_angle_beta 93.96
_cell_angle_gamma 90.00
loop_
_space_group_symop_operation_xyz
'x,y,z'
'-x,-y,-z'
'-x,y+1/2,-z'
'x,-y+1/2,z'
loop_
_atom_site_label
_atom_site_type_symbol
_atom_site_fract_x
_atom_site_fract_y
_atom_site_fract_z
U1 U 0.100 0.250 0.088
Cl1 Cl 0.165 0.562 0.152
O1 O 0.101 0.750 0.739
O2 O 0.267 0.250 0.883
O3 O 0.322 0.250 0.284
```